The following is a theoretical X-ray powder pattern of Cs3AcAg2F9. It was derived from DFT lattice parameters and positions (GGA-PBE), using Cu Ka.

Principal peaks in the range 2θ = 10–90°, by intensity:
| d_spacing | Rel. int. | index |
| --- | --- | --- |
| 3.405 | 100.0 | 0 1 2 |
| 3.310 | 96.9 | 1 1 0 |
| 2.374 | 63.9 | 2 0 2 |
| 1.929 | 41.1 | 1 2 2 |
| 1.655 | 20.8 | 2 2 0 |
| 1.911 | 20.6 | 3 0 0 |
| 4.747 | 19.2 | 0 1 1 |
| 1.489 | 18.0 | 3 1 2 |
| 1.702 | 14.8 | 0 2 4 |
| 1.985 | 13.2 | 1 0 4 |

Structural model:
```
data_Cs3AcAg2F9
_space_group_name_H-M_alt 'P 1'
_space_group_IT_number 1
_cell_length_a 6.6209
_cell_length_b 6.6209
_cell_length_c 8.4635
_cell_angle_alpha 90.00
_cell_angle_beta 90.00
_cell_angle_gamma 120.00
loop_
_space_group_symop_operation_xyz
'x,y,z'
loop_
_atom_site_label
_atom_site_fract_x
_atom_site_fract_y
_atom_site_fract_z
_atom_site_occupancy
Cs1 0.0000 0.0000 0.0000 1
Cs2 0.3333 0.6667 0.7178 1
Cs3 0.6667 0.3333 0.2822 1
Ac1 0.0000 0.0000 0.5000 1
Ag1 0.3333 0.6667 0.1565 1
Ag2 0.6667 0.3333 0.8435 1
F1 0.0000 0.5000 0.0000 1
F2 0.1657 0.3315 0.3266 1
F3 0.1657 0.8343 0.3266 1
F4 0.3315 0.1657 0.6734 1
F5 0.5000 0.0000 0.0000 1
F6 0.5000 0.5000 0.0000 1
F7 0.6685 0.8343 0.3266 1
F8 0.8343 0.1657 0.6734 1
F9 0.8343 0.6685 0.6734 1
```